[1]
This entry pairs a crystal structure of Nd5Dy7 with its theoretical PXRD pattern. Radiation: Cu Kα X-rays. Structure: a DFT-relaxed cell (PBE, Alexandria).
Peak positions follow from Bragg's law for the DFT cell and can differ from measured ones.

Structure:
```
Nd5Dy7
1.0
9.375 -1.809 0.000
9.375 1.809 0.000
-6.245 0.000 11.664
Nd Dy
5 7
Cartesian
0.000 0.000 0.000
-0.010 0.000 5.807
4.167 0.000 2.902
8.338 0.000 8.762
12.515 0.000 5.857
-4.168 0.000 8.753
6.244 0.000 0.031
2.102 0.000 8.766
6.253 0.000 5.832
10.403 0.000 2.898
6.261 0.000 11.632
16.673 0.000 2.911
```

Largest 10 diffraction maxima, low angle first, 10° ≤ 2θ ≤ 90°:
Position (°2θ), d_spacing, I (rel.)
29.56, 3.022, 43.6
30.66, 2.916, 34.6
32.47, 2.757, 100.0
36.87, 2.438, 24.2
48.69, 1.870, 11.0
50.56, 1.805, 17.2
55.66, 1.651, 21.6
60.24, 1.536, 20.3
60.31, 1.535, 10.1
61.31, 1.512, 10.7

[2]
This entry pairs a crystal structure of Pr4SbPd2 with its theoretical PXRD pattern. Radiation: Cu Kα X-rays. Structure: a DFT-relaxed cell (PBE, Alexandria).
Peak positions follow from Bragg's law for the DFT cell and can differ from measured ones.

Structure:
```
Pr4SbPd2
1.0
0.000 6.750 4.502
6.732 0.000 4.502
6.732 6.750 0.000
Pr Sb Pd
8 2 4
Cartesian
7.496 1.646 4.502
4.130 1.729 2.251
8.362 5.961 3.199
2.602 5.021 2.251
5.103 7.538 3.199
4.996 4.163 5.450
8.469 9.336 5.450
5.968 11.854 4.502
6.732 6.750 6.104
10.098 10.125 8.355
5.795 4.298 2.724
11.036 7.673 4.975
7.670 9.202 2.724
2.429 5.827 4.975
```

Largest 10 diffraction maxima, low angle first, 10° ≤ 2θ ≤ 90°:
Position (°2θ), d_spacing, I (rel.)
29.63, 3.015, 98.2
29.82, 2.997, 100.0
31.24, 2.863, 96.1
35.38, 2.537, 79.1
35.85, 2.505, 54.0
36.61, 2.454, 32.5
45.73, 1.984, 21.8
48.64, 1.872, 21.6
49.78, 1.832, 27.6
50.61, 1.804, 32.5

[3]
This entry pairs a crystal structure of PmFe7B3 with its theoretical PXRD pattern. Radiation: Cu Kα X-rays. Structure: a DFT-relaxed cell (PBE, Alexandria).
Peak positions follow from Bragg's law for the DFT cell and can differ from measured ones.

Structure:
```
PmFe7B3
1.0
3.365 1.943 6.247
-3.365 1.943 6.247
0.000 -3.886 6.247
Pm Fe B
2 14 6
Cartesian
0.000 0.000 0.000
0.000 0.000 9.370
-2.602 -0.725 9.891
-0.674 -2.616 8.849
-0.674 -1.270 6.768
0.000 0.000 4.685
-1.929 1.892 8.849
-0.763 1.218 6.768
-1.436 -0.051 11.972
1.436 0.051 6.768
0.763 -1.218 11.972
1.929 -1.892 9.891
0.000 0.000 14.055
0.674 1.270 11.972
0.674 2.616 9.891
2.602 0.725 8.849
-2.279 -0.061 7.808
-1.086 -2.004 10.932
1.192 -1.943 7.808
-1.192 1.943 10.932
1.086 2.004 7.808
2.279 0.061 10.932
```

Largest 10 diffraction maxima, low angle first, 10° ≤ 2θ ≤ 90°:
Position (°2θ), d_spacing, I (rel.)
26.49, 3.365, 34.3
28.58, 3.123, 27.5
36.30, 2.475, 61.7
41.26, 2.188, 43.7
41.55, 2.174, 60.6
42.14, 2.144, 17.7
45.50, 1.994, 100.0
47.90, 1.899, 37.0
51.62, 1.771, 19.7
74.62, 1.272, 26.6